# 1
Simulated X-ray powder pattern of PmTm5Hg3 for Cu Kα (weighted mean of Kα1 and Kα2), from the GGA-PBE geometry in Alexandria.

Structural model:
```
data_PmTm5Hg3
_chemical_formula_sum 'Pm2 Tm10 Hg6'
_space_group_name_H-M_alt 'P 63/m c m'
_space_group_IT_number 193
_space_group_name_Hall '-P 6c 2'
_cell_length_a 9.0027
_cell_length_b 9.0027
_cell_length_c 6.8898
_cell_angle_alpha 90.00
_cell_angle_beta 90.00
_cell_angle_gamma 120.00
loop_
_atom_site_label
_atom_site_type_symbol
_atom_site_fract_x
_atom_site_fract_y
_atom_site_fract_z
_atom_site_occupancy
Pm1 Pm 0.0000 0.0000 0.0000 1
Tm1 Tm 0.0000 0.3338 0.2500 1
Tm2 Tm 0.3333 0.6667 0.0000 1
Hg1 Hg 0.0000 0.3367 0.7500 1
```

The 6 most intense peaks (15 to 90 degrees two-theta), sorted by position:
2theta, intensity
32.74, 98
34.51, 100
48.30, 33
60.71, 34
61.83, 19
64.95, 33

# 2
Simulated X-ray powder pattern of PmY5Hg6 for Cu Kα (weighted mean of Kα1 and Kα2), from the GGA-PBE geometry in Alexandria.

Structural model:
```
data_PmY5Hg6
_chemical_formula_sum 'Pm1 Y5 Hg6'
_space_group_name_H-M_alt 'P 1 2/m 1'
_space_group_IT_number 10
_cell_length_a 5.2724
_cell_length_b 7.5154
_cell_length_c 8.3606
_cell_angle_alpha 90.00
_cell_angle_beta 108.12
_cell_angle_gamma 90.00
loop_
_space_group_symop_operation_xyz
'x,y,z'
'-x,-y,-z'
'-x,y,-z'
'x,-y,z'
loop_
_atom_site_label
_atom_site_type_symbol
_atom_site_fract_x
_atom_site_fract_y
_atom_site_fract_z
_atom_site_occupancy
Pm1 Pm 0.0000 0.0000 0.0000 1
Y1 Y 0.0000 0.5000 0.0000 1
Y2 Y 0.3322 0.0000 0.6644 1
Y3 Y 0.3350 0.5000 0.6698 1
Hg1 Hg 0.1686 0.2542 0.3376 1
Hg2 Hg 0.5000 0.2545 0.0000 1
```

The 6 most intense peaks (15 to 90 degrees two-theta), sorted by position:
2theta, intensity
23.72, 10
33.83, 100
34.01, 20
60.43, 15
60.51, 8
60.64, 15

# 3
Simulated X-ray powder pattern of PmYHg for Cu Kα (weighted mean of Kα1 and Kα2), from the GGA-PBE geometry in Alexandria.

Structural model:
```
data_PmYHg
_chemical_formula_sum 'Pm3 Y3 Hg3'
_space_group_name_H-M_alt 'P -6 2 m'
_space_group_IT_number 189
_space_group_name_Hall 'P -6 -2'
_cell_length_a 8.9176
_cell_length_b 8.9176
_cell_length_c 3.8004
_cell_angle_alpha 90.00
_cell_angle_beta 90.00
_cell_angle_gamma 120.00
loop_
_atom_site_label
_atom_site_type_symbol
_atom_site_fract_x
_atom_site_fract_y
_atom_site_fract_z
_atom_site_occupancy
Pm1 Pm 0.0000 0.6076 0.0000 1
Y1 Y 0.0000 0.2740 0.5000 1
Hg1 Hg 0.0000 0.0000 0.0000 1
Hg2 Hg 0.3333 0.6667 0.5000 1
```

The 6 most intense peaks (15 to 90 degrees two-theta), sorted by position:
2theta, intensity
30.92, 91
33.07, 100
34.85, 99
38.90, 53
57.38, 51
60.56, 40